Structure and simulated powder X-ray diffraction pattern of Ta3NiB7 (a GGA-PBE-relaxed structure; copper Kα).
Intensities are scaled so that the largest is 100.

Principal peaks in the range 2θ = 10–90°, sorted by position:
| Position (°2θ) | intensity |
| --- | --- |
| 23.82 | 34 |
| 28.53 | 70 |
| 32.21 | 100 |
| 33.18 | 54 |
| 35.22 | 68 |
| 37.45 | 32 |
| 42.40 | 87 |
| 43.48 | 39 |
| 47.24 | 36 |
| 62.38 | 32 |

Lattice parameters (Å, degrees): 7.381 7.381 8.737 90.00 90.00 154.92
Fractional positions:
1 Ta 0.108 0.892 0.555
2 Ta 0.108 0.892 0.945
3 Ta 0.248 0.752 0.250
4 Ta 0.752 0.248 0.750
5 Ta 0.892 0.108 0.055
6 Ta 0.892 0.108 0.445
7 Ni 0.049 0.951 0.250
8 Ni 0.951 0.049 0.750
9 B 0.272 0.728 0.532
10 B 0.272 0.728 0.968
11 B 0.367 0.633 0.651
12 B 0.367 0.633 0.849
13 B 0.428 0.572 0.250
14 B 0.486 0.514 0.594
15 B 0.486 0.514 0.906
16 B 0.514 0.486 0.094
17 B 0.514 0.486 0.406
18 B 0.572 0.428 0.750
19 B 0.633 0.367 0.151
20 B 0.633 0.367 0.349
21 B 0.728 0.272 0.032
22 B 0.728 0.272 0.468

=====

Structure and simulated powder X-ray diffraction pattern of LiTb2PaN4 (a GGA-PBE-relaxed structure; copper Kα).
Intensities are scaled so that the largest is 100.

Principal peaks in the range 2θ = 10–90°, sorted by position:
| Position (°2θ) | intensity |
| --- | --- |
| 28.13 | 100 |
| 28.71 | 35 |
| 31.75 | 63 |
| 31.93 | 38 |
| 36.73 | 33 |
| 39.22 | 44 |
| 48.46 | 31 |
| 51.44 | 24 |
| 54.03 | 21 |
| 62.37 | 22 |

Lattice parameters (Å, degrees): 5.853 5.853 11.546 90.00 90.00 146.52
Fractional positions:
1 Li 0.151 0.849 0.750
2 Li 0.849 0.151 0.250
3 Tb 0.370 0.630 0.054
4 Tb 0.370 0.630 0.446
5 Tb 0.630 0.370 0.554
6 Tb 0.630 0.370 0.946
7 Pa 0.116 0.884 0.250
8 Pa 0.884 0.116 0.750
9 N 0.000 0.000 0.000
10 N 0.000 0.000 0.500
11 N 0.279 0.721 0.631
12 N 0.279 0.721 0.869
13 N 0.473 0.527 0.250
14 N 0.527 0.473 0.750
15 N 0.721 0.279 0.131
16 N 0.721 0.279 0.369